The following is a theoretical XRD peak list of NiS2. It was derived from the GGA-PBE geometry in the Materials Project, using copper Kα.

Principal peaks in the range 2θ from 10° to 90°, low angle first:
two_theta, I_rel, h k l
17.8, 100, 0 0 2
29.3, 58, 1 0 0
34.5, 27, 1 0 2
40.1, 73, 1 0 3
52.0, 41, 1 1 0
55.0, 50, 1 0 5
55.4, 25, 1 1 2
79.1, 16, 2 0 5

Structure:
a = 3.5163 Å, b = 3.5163 Å, c = 9.9846 Å
α = 90.00°, β = 90.00°, γ = 120.00°
Space group P6_3/mmc (No. 194)
Symmetry-distinct sites (fractional):
Ni1 0.3333 0.6667 0.2500
S1 0.3333 0.6667 0.6427

***

The following is a theoretical XRD peak list of FeS4N4Cl3. It was derived from the GGA-PBE geometry in the Materials Project, using copper Kα.

Principal peaks in the range 2θ from 10° to 90°, low angle first:
two_theta, I_rel, h k l
14.6, 73, 1 1 0
15.4, 18, 1 1 -1
16.3, 51, 1 1 1
25.8, 18, 0 3 2
26.2, 100, 1 2 -3
28.8, 39, 1 0 4
30.3, 22, 0 4 0
46.7, 18, 0 2 7

Structure:
a = 7.1024 Å, b = 11.7989 Å, c = 14.5000 Å
α = 90.00°, β = 95.32°, γ = 90.00°
Space group P2_1/c (No. 14)
Symmetry-distinct sites (fractional):
Fe1 0.2305 0.0963 0.2613
S1 0.0378 0.7010 0.9716
S2 0.2083 0.1186 0.9626
S3 0.2664 0.1463 0.6758
S4 0.4994 0.6921 0.3907
N1 0.0267 0.1745 0.0011
N2 0.0857 0.1319 0.6033
N3 0.3358 0.2177 0.1819
N4 0.4085 0.1398 0.0144
Cl1 0.0698 0.6373 0.2359
Cl2 0.2827 0.5635 0.6917
Cl3 0.3787 0.0991 0.4006

***

The following is a theoretical XRD peak list of ZrTi3P8O36. It was derived from the GGA-PBE geometry in the Materials Project, using copper Kα.

Principal peaks in the range 2θ from 10° to 90°, low angle first:
two_theta, I_rel, h k l
11.4, 100, 0 0 2
19.9, 24, 1 -1 1
21.3, 24, 0 2 0
22.3, 14, 0 1 3
24.5, 36, 1 1 -3
24.6, 43, 1 -1 3
26.6, 34, 0 2 2
34.0, 10, 2 0 0

Structure:
a = 5.2812 Å, b = 8.6288 Å, c = 16.0414 Å
α = 104.40°, β = 90.46°, γ = 90.49°
Space group P1 (No. 1)
Symmetry-distinct sites (fractional):
Zr1 0.0000 0.0000 0.0000
Ti1 0.0645 0.4823 0.4837
Ti2 0.5426 0.9637 0.4251
Ti3 0.5502 0.4885 0.9138
P1 0.0394 0.1172 0.3440
P2 0.0388 0.8831 0.5459
P3 0.0454 0.6344 0.8374
P4 0.0727 0.4103 0.0379
P5 0.4847 0.0985 0.8754
P6 0.5108 0.8261 0.0671
P7 0.5551 0.3488 0.5594
P8 0.5731 0.5724 0.3688
O1 0.0183 0.2495 0.0596
O2 0.0286 0.1641 0.2586
O3 0.0304 0.2676 0.4220
O4 0.0312 0.9769 0.6394
O5 0.0436 0.7798 0.9167
O6 0.0572 0.6828 0.7524
O7 0.0867 0.7014 0.5376
O8 0.1162 0.5336 0.1385
O9 0.1600 0.6925 0.1361
O10 0.2155 0.0780 0.9006
O11 0.2579 0.9409 0.4974
O12 0.2705 0.5231 0.8475
O13 0.2906 0.0293 0.3505
O14 0.2959 0.4244 0.5689
O15 0.3031 0.9497 0.0684
O16 0.3299 0.4149 0.9967
O17 0.3697 0.4928 0.4096
O18 0.3782 0.8542 0.7330
O19 0.4576 0.7340 0.1419
O20 0.5100 0.7363 0.3572
O21 0.5119 0.9814 0.7661
O22 0.5178 0.7036 0.9798
O23 0.5488 0.4682 0.2564
O24 0.5656 0.2537 0.8557
O25 0.5775 0.1858 0.5001
O26 0.5839 0.3198 0.6648
O27 0.6648 0.3339 0.2283
O28 0.6777 0.0274 0.9248
O29 0.7675 0.9121 0.0857
O30 0.7706 0.4639 0.5552
O31 0.7837 0.8950 0.4986
O32 0.7930 0.2546 0.6819
O33 0.7968 0.5360 0.8378
O34 0.8115 0.0091 0.3554
O35 0.8405 0.5416 0.3928
O36 0.8523 0.4698 0.9945

***

The following is a theoretical XRD peak list of As2O3. It was derived from the GGA-PBE geometry in the Materials Project, using copper Kα.

Principal peaks in the range 2θ from 10° to 90°, low angle first:
two_theta, I_rel, h k l
18.9, 55, 2 0 -2
21.9, 18, 2 0 2
24.8, 100, 2 1 0
26.0, 34, 0 0 4
28.5, 16, 2 0 -4
32.4, 17, 0 1 4
32.6, 17, 2 0 4
38.0, 24, 2 1 4

Structure:
a = 11.3210 Å, b = 4.6835 Å, c = 13.8504 Å
α = 90.00°, β = 98.52°, γ = 90.00°
Space group P2_1/c (No. 14)
Symmetry-distinct sites (fractional):
As1 0.0913 0.1911 0.2231
As2 0.1576 0.1841 0.4556
As3 0.3399 0.6843 0.5387
As4 0.4044 0.7414 0.7718
O1 0.0302 0.6689 0.7147
O2 0.1936 0.5594 0.4796
O3 0.2011 0.1615 0.3327
O4 0.3019 0.0596 0.5178
O5 0.3018 0.6457 0.6630
O6 0.4886 0.0867 0.2982

***

The following is a theoretical XRD peak list of Ca2CuS2O2. It was derived from the GGA-PBE geometry in the Materials Project, using copper Kα.

Principal peaks in the range 2θ from 10° to 90°, low angle first:
two_theta, I_rel, h k l
11.4, 59, 0 0 1
23.0, 10, 1 0 0
32.8, 100, 1 1 0
42.1, 48, 1 0 3
47.1, 30, 2 0 0
58.5, 17, 2 1 2
65.0, 23, 2 1 3
78.3, 11, 3 1 0

Structure:
a = 3.8625 Å, b = 3.8625 Å, c = 7.7455 Å
α = 90.00°, β = 90.00°, γ = 90.00°
Space group P4/mmm (No. 123)
Symmetry-distinct sites (fractional):
Ca1 0.0000 0.0000 0.2081
Cu1 0.5000 0.5000 0.0000
S1 0.5000 0.5000 0.3617
O1 0.0000 0.5000 0.0000

***

The following is a theoretical XRD peak list of RbTh2P3O12. It was derived from the GGA-PBE geometry in the Materials Project, using copper Kα.

Principal peaks in the range 2θ from 10° to 90°, low angle first:
two_theta, I_rel, h k l
13.7, 48, 1 1 0
18.3, 44, 1 1 1
19.8, 74, 3 1 0
25.1, 34, 1 1 -2
26.3, 40, 2 0 2
26.6, 68, 4 0 -2
28.9, 100, 2 2 -1
30.6, 51, 6 0 0

Structure:
a = 17.9714 Å, b = 6.9587 Å, c = 8.2408 Å
α = 90.00°, β = 102.54°, γ = 90.00°
Space group C2/c (No. 15)
Symmetry-distinct sites (fractional):
Rb1 0.0000 0.0942 0.2500
Th1 0.1544 0.4057 0.0335
P1 0.0000 0.4052 0.7500
P2 0.1919 0.0916 0.6822
O1 0.0274 0.2844 0.9094
O2 0.0715 0.4692 0.2433
O3 0.1446 0.0938 0.1504
O4 0.1548 0.2576 0.5713
O5 0.2042 0.1523 0.8704
O6 0.2236 0.4474 0.3304